V3P4O14: theoretical XRD peak list (Cu Kα (weighted mean of Kα1 and Kα2)), based on a structure optimized by DFT (GGA+U).
No peak broadening, texture or thermal motion is included.

Peak list (6 most intense, 2θ = 10–80°, in order of falling intensity)
d_spacing	Rel. int.
3.014	100
6.784	73
5.117	72
3.049	50
3.067	40
5.987	38

Atomic structure:
Unit cell a=7.237 b=8.035 c=9.577 alpha=90.00 beta=110.39 gamma=90.00
Sites, in units of the cell vectors:
V1 0.000 0.000 0.000
V2 0.000 0.500 0.500
V3 0.189 0.129 0.527
V4 0.189 0.371 0.027
V5 0.811 0.629 0.973
V6 0.811 0.871 0.473
P1 0.119 0.709 0.804
P2 0.119 0.791 0.304
P3 0.401 0.051 0.293
P4 0.401 0.449 0.793
P5 0.599 0.551 0.207
P6 0.599 0.949 0.707
P7 0.881 0.209 0.696
P8 0.881 0.291 0.196
O1 0.002 0.710 0.634
O2 0.002 0.790 0.134
O3 0.036 0.579 0.889
O4 0.036 0.921 0.389
O5 0.139 0.623 0.377
O6 0.139 0.877 0.877
O7 0.271 0.114 0.136
O8 0.271 0.386 0.636
O9 0.327 0.638 0.811
O10 0.327 0.862 0.311
O11 0.367 0.160 0.412
O12 0.367 0.340 0.912
O13 0.383 0.522 0.182
O14 0.383 0.978 0.682
O15 0.617 0.022 0.318
O16 0.617 0.478 0.818
O17 0.633 0.660 0.088
O18 0.633 0.840 0.588
O19 0.673 0.138 0.689
O20 0.673 0.362 0.189
O21 0.729 0.614 0.364
O22 0.729 0.886 0.864
O23 0.861 0.123 0.123
O24 0.861 0.377 0.623
O25 0.964 0.079 0.611
O26 0.964 0.421 0.111
O27 0.998 0.210 0.866
O28 0.998 0.290 0.366

VP2O7: theoretical XRD peak list (Cu Kα (weighted mean of Kα1 and Kα2)), based on a structure optimized by DFT (GGA+U).
No peak broadening, texture or thermal motion is included.

Peak list (6 most intense, 2θ = 10–80°, in order of falling intensity)
d_spacing	Rel. int.
3.098	100
4.996	82
2.961	73
2.895	71
3.962	66
3.612	31

Atomic structure:
Unit cell a=5.145 b=5.145 c=4.546 alpha=97.25 beta=97.25 gamma=100.69
Sites, in units of the cell vectors:
V1 0.000 0.000 0.000
P1 0.450 0.143 0.585
P2 0.857 0.550 0.415
O1 0.035 0.690 0.708
O2 0.254 0.205 0.804
O3 0.310 0.965 0.292
O4 0.568 0.432 0.500
O5 0.679 0.034 0.734
O6 0.795 0.746 0.196
O7 0.966 0.321 0.266

VP2O7: theoretical XRD peak list (Cu Kα (weighted mean of Kα1 and Kα2)), based on a structure optimized by DFT (GGA+U).
No peak broadening, texture or thermal motion is included.

Peak list (6 most intense, 2θ = 10–80°, in order of falling intensity)
d_spacing	Rel. int.
3.875	100
3.958	96
4.085	66
3.012	34
3.472	31
4.249	27

Atomic structure:
Unit cell a=4.476 b=8.200 c=8.374 alpha=74.54 beta=75.58 gamma=75.49
Sites, in units of the cell vectors:
V1 0.000 0.000 0.000
V2 0.424 0.521 0.541
P1 0.052 0.950 0.415
P2 0.352 0.575 0.119
P3 0.398 0.083 0.595
P4 0.920 0.373 0.058
O1 0.005 0.252 0.939
O2 0.159 0.747 0.064
O3 0.214 0.089 0.449
O4 0.220 0.424 0.083
O5 0.229 0.993 0.762
O6 0.256 0.775 0.447
O7 0.266 0.533 0.736
O8 0.418 0.512 0.293
O9 0.456 0.260 0.574
O10 0.636 0.002 0.001
O11 0.691 0.553 0.989
O12 0.729 0.953 0.552
O13 0.799 0.522 0.517
O14 0.978 0.024 0.240

VP2O7: theoretical XRD peak list (Cu Kα (weighted mean of Kα1 and Kα2)), based on a structure optimized by DFT (GGA+U).
No peak broadening, texture or thermal motion is included.

Peak list (6 most intense, 2θ = 10–80°, in order of falling intensity)
d_spacing	Rel. int.
4.990	100
2.996	66
2.975	44
3.134	36
4.952	34
3.879	22

Atomic structure:
Unit cell a=6.292 b=6.292 c=13.381 alpha=105.63 beta=105.63 gamma=79.38
Sites, in units of the cell vectors:
V1 0.098 0.613 0.857
V2 0.387 0.902 0.643
V3 0.613 0.098 0.357
V4 0.902 0.387 0.143
P1 0.084 0.164 0.931
P2 0.164 0.084 0.431
P3 0.252 0.411 0.636
P4 0.411 0.252 0.136
P5 0.589 0.748 0.864
P6 0.748 0.589 0.364
P7 0.836 0.916 0.569
P8 0.916 0.836 0.069
O1 0.039 0.936 0.858
O2 0.064 0.961 0.642
O3 0.082 0.522 0.704
O4 0.101 0.714 0.013
O5 0.109 0.302 0.520
O6 0.145 0.314 0.871
O7 0.220 0.407 0.177
O8 0.286 0.899 0.487
O9 0.302 0.109 0.020
O10 0.314 0.145 0.371
O11 0.374 0.582 0.618
O12 0.407 0.220 0.677
O13 0.418 0.626 0.882
O14 0.478 0.918 0.796
O15 0.522 0.082 0.204
O16 0.582 0.374 0.118
O17 0.593 0.780 0.323
O18 0.626 0.418 0.382
O19 0.686 0.855 0.629
O20 0.698 0.891 0.980
O21 0.714 0.101 0.513
O22 0.780 0.593 0.823
O23 0.855 0.686 0.129
O24 0.891 0.698 0.480
O25 0.899 0.286 0.987
O26 0.918 0.478 0.296
O27 0.936 0.039 0.358
O28 0.961 0.064 0.142

> Number 4 is which compound?

VP2O7